Structure and calculated PXRD pattern of Cs6Rb3P (DFT lattice parameters and positions (GGA-PBE); Cu Kα X-rays).
Intensities are scaled so that the largest is 1000.

Crystal structure
```
Cs6Rb3P
1.0
9.030 -4.993 0.000
9.030 4.993 0.000
-7.633 0.000 10.733
Cs Rb P
6 3 1
Direct
0.177 0.704 0.779 Cs
0.217 0.217 0.081 Cs
0.296 0.823 0.221 Cs
0.704 0.177 0.779 Cs
0.783 0.783 0.919 Cs
0.823 0.296 0.221 Cs
0.158 0.158 0.656 Rb
0.500 0.500 0.500 Rb
0.842 0.842 0.344 Rb
0.000 0.000 0.000 P
```

Most intense lines, 10 to 90 degrees two-theta, sorted by position:
d 4.880, intensity 269
d 4.361, intensity 999
d 4.335, intensity 352
d 4.132, intensity 414
d 3.955, intensity 1000
d 3.655, intensity 433